1.
The following is a simulated XRD peak list of Na4GeH28Se4O14. It was derived from a DFT-relaxed cell (PBE, the Materials Project), using CuKα.
Peak positions follow from Bragg's law for the DFT cell and can differ from measured ones.

Structure:
```
51
Lattice="6.4527 -5.6628 0.0000 6.4527 5.6628 0.0000 -2.6272 0.0000 7.7868" Properties=species:S:1:pos:R:3 pbc="T T T"
Na 3.8305 2.2956 1.4370
Na 1.6447 0.0000 0.7148
Na 6.4478 2.2956 6.3498
Na 8.6335 0.0000 7.0720
Ge 5.1391 -2.5170 3.8934
H -1.4405 0.4405 5.7747
H 1.3901 2.9503 6.5607
H 5.5879 4.5805 1.8940
H 4.6904 4.5805 5.8928
H 2.9160 2.9314 6.7188
H 1.9328 0.9956 3.3789
H 3.7982 2.7561 4.5933
H 0.3800 -0.7537 4.5538
H 1.5468 0.4377 6.9239
H 3.1636 0.0323 3.4411
H 4.0359 1.3600 5.3151
H 7.3623 2.9314 1.0679
H 6.4800 2.7561 3.1935
H 1.6103 -1.6791 4.7559
H 4.7181 -0.2624 0.4539
H 6.2423 1.3600 2.4717
H 8.8882 2.9503 1.2261
H 2.8036 -2.6240 6.8927
H 5.5601 -0.2624 7.3329
H 8.7315 0.4377 0.8629
H 4.8908 -3.0292 0.5390
H 7.1147 0.0323 4.3457
H 8.3454 0.9956 4.4079
H 7.4747 -2.6240 0.8941
H 5.3874 -3.0292 7.2478
H 8.6679 -1.6791 3.0309
H 9.8983 -0.7537 3.2330
H 11.7188 0.4405 2.0121
Se 3.9899 -1.1504 5.4984
Se 6.2884 -1.1504 2.2883
Se 3.5646 -3.9525 2.8364
Se 6.7136 -3.9525 4.9504
O 5.8228 5.4431 1.5061
O 4.4555 5.4431 6.2807
O 2.1072 3.2814 7.1686
O 2.6897 0.6533 2.8339
O 4.1645 2.3372 5.4138
O 3.9863 0.2840 0.0868
O 0.6290 -1.7116 4.6171
O 6.1138 2.3372 2.3730
O 8.1710 3.2814 0.6182
O 2.1702 -3.2271 7.3675
O 7.5885 0.6533 4.9528
O 6.2919 0.2840 7.6999
O 8.1081 -3.2271 0.4192
O 9.6493 -1.7116 3.1697
```

Top 10 peaks for 10° ≤ 2θ ≤ 80°, by intensity:
2θ (°), d [Å], I (rel.)
10.65, 8.309, 100
27.79, 3.211, 47
32.20, 2.780, 43
13.79, 6.420, 40
23.03, 3.863, 39
21.39, 4.155, 39
26.42, 3.374, 35
30.90, 2.894, 34
35.46, 2.531, 32
17.22, 5.151, 30

***

2.
The following is a simulated XRD peak list of CoSi2. It was derived from a DFT-relaxed cell (PBE, the Materials Project), using CuKα.
Peak positions follow from Bragg's law for the DFT cell and can differ from measured ones.

Structure:
```
3
Lattice="0.0000 2.6801 2.6801 2.6801 0.0000 2.6801 2.6801 2.6801 0.0000" Properties=species:S:1:pos:R:3 pbc="T T T"
Co 0.0000 0.0000 0.0000
Si 1.3400 1.3400 1.3400
Si 4.0201 4.0201 4.0201
```

Top 5 peaks for 10° ≤ 2θ ≤ 80°, by intensity:
2θ (°), d [Å], I (rel.)
48.01, 1.895, 100
28.85, 3.095, 79
56.98, 1.616, 31
70.24, 1.340, 15
77.65, 1.230, 12

***

3.
The following is a simulated XRD peak list of ZrInPt2. It was derived from a DFT-relaxed cell (PBE, the Materials Project), using CuKα.
Peak positions follow from Bragg's law for the DFT cell and can differ from measured ones.

Structure:
```
4
Lattice="3.4002 0.0000 0.0000 0.0000 3.4002 0.0000 0.0000 0.0000 6.6078" Properties=species:S:1:pos:R:3 pbc="T T T"
Zr 0.0000 0.0000 0.0000
In 0.0000 0.0000 3.3039
Pt 1.7001 1.7001 1.5103
Pt 1.7001 1.7001 5.0975
```

Top 10 peaks for 10° ≤ 2θ ≤ 80°, by intensity:
2θ (°), d [Å], I (rel.)
37.97, 2.370, 100
37.40, 2.404, 55
67.85, 1.381, 36
53.93, 1.700, 19
68.97, 1.362, 15
26.21, 3.400, 11
55.64, 1.652, 7
79.78, 1.202, 6
26.99, 3.304, 4
46.73, 1.944, 4

***

4.
The following is a simulated XRD peak list of K2RbCeF6. It was derived from a DFT-relaxed cell (PBE, the Materials Project), using CuKα.
Peak positions follow from Bragg's law for the DFT cell and can differ from measured ones.

Structure:
```
10
Lattice="0.0000 4.9486 4.9486 4.9486 0.0000 4.9486 4.9486 4.9486 0.0000" Properties=species:S:1:pos:R:3 pbc="T T T"
K 2.4743 2.4743 2.4743
K 7.4229 7.4229 7.4229
Rb 0.0000 0.0000 0.0000
Ce 4.9486 4.9486 4.9486
F 4.9486 4.9486 2.6679
F 4.9486 2.6679 4.9486
F 7.2293 4.9486 4.9486
F 2.6679 4.9486 4.9486
F 4.9486 7.2293 4.9486
F 4.9486 4.9486 7.2293
```

Top 10 peaks for 10° ≤ 2θ ≤ 80°, by intensity:
2θ (°), d [Å], I (rel.)
25.46, 3.499, 100
17.92, 4.949, 53
36.31, 2.474, 47
44.87, 2.020, 41
52.29, 1.750, 30
40.77, 2.213, 25
71.31, 1.323, 22
59.03, 1.565, 20
15.51, 5.714, 13
55.73, 1.650, 13

***

5.
The following is a simulated XRD peak list of Pm2CuNi. It was derived from a DFT-relaxed cell (PBE, the Materials Project), using CuKα.
Peak positions follow from Bragg's law for the DFT cell and can differ from measured ones.

Structure:
```
4
Lattice="0.0000 3.5039 3.5039 3.5039 0.0000 3.5039 3.5039 3.5039 0.0000" Properties=species:S:1:pos:R:3 pbc="T T T"
Pm 1.7520 1.7520 1.7520
Pm 5.2559 5.2559 5.2559
Cu 0.0000 0.0000 0.0000
Ni 3.5039 3.5039 3.5039
```

Top 7 peaks for 10° ≤ 2θ ≤ 80°, by intensity:
2θ (°), d [Å], I (rel.)
36.26, 2.478, 100
65.22, 1.430, 35
52.21, 1.752, 17
25.42, 3.504, 17
76.97, 1.239, 11
58.94, 1.567, 7
44.80, 2.023, 5

***

6.
The following is a simulated XRD peak list of CeSe2. It was derived from a DFT-relaxed cell (PBE, the Materials Project), using CuKα.
Peak positions follow from Bragg's law for the DFT cell and can differ from measured ones.

Structure:
```
36
Lattice="14.7752 0.0000 0.0000 0.0000 14.7752 0.0000 0.0000 0.0000 14.7752" Properties=species:S:1:pos:R:3 pbc="T T T"
Ce 1.1925 4.9462 2.1387
Ce 1.1925 9.8290 12.6365
Ce 2.1387 1.1925 4.9462
Ce 2.1387 13.5827 9.8290
Ce 4.9462 2.1387 1.1925
Ce 4.9462 12.6365 13.5827
Ce 9.8290 2.1387 13.5827
Ce 9.8290 12.6365 1.1925
Ce 12.6365 1.1925 9.8290
Ce 12.6365 13.5827 4.9462
Ce 13.5827 4.9462 12.6365
Ce 13.5827 9.8290 2.1387
Se 0.0000 0.0000 3.7574
Se 0.0000 0.0000 11.0178
Se 0.0000 3.7574 0.0000
Se 0.0000 7.3876 2.4308
Se 0.0000 7.3876 12.3444
Se 0.0000 11.0178 0.0000
Se 1.1833 3.7230 4.5839
Se 1.1833 11.0522 10.1913
Se 2.4308 0.0000 7.3876
Se 3.7230 4.5839 1.1833
Se 3.7230 10.1913 13.5919
Se 3.7574 0.0000 0.0000
Se 4.5839 1.1833 3.7230
Se 4.5839 13.5919 11.0522
Se 7.3876 2.4308 0.0000
Se 7.3876 12.3444 0.0000
Se 10.1913 1.1833 11.0522
Se 10.1913 13.5919 3.7230
Se 11.0178 0.0000 0.0000
Se 11.0522 4.5839 13.5919
Se 11.0522 10.1913 1.1833
Se 12.3444 0.0000 7.3876
Se 13.5919 3.7230 10.1913
Se 13.5919 11.0522 4.5839
```

Top 10 peaks for 10° ≤ 2θ ≤ 80°, by intensity:
2θ (°), d [Å], I (rel.)
10.37, 8.530, 100
18.99, 4.672, 28
19.93, 4.455, 28
13.40, 6.608, 27
14.69, 6.032, 27
24.85, 3.584, 26
40.98, 2.203, 25
25.58, 3.483, 23
20.83, 4.265, 21
41.45, 2.178, 21

***

7.
The following is a simulated XRD peak list of AlWC. It was derived from a DFT-relaxed cell (PBE, the Materials Project), using CuKα.
Peak positions follow from Bragg's law for the DFT cell and can differ from measured ones.

Structure:
```
3
Lattice="2.8461 0.0000 0.0000 0.0000 2.8579 0.0000 0.0000 0.0000 4.8165" Properties=species:S:1:pos:R:3 pbc="T T T"
Al 0.0000 0.0000 0.0000
W 1.4231 0.0000 2.3681
C 1.4231 1.4289 0.8700
```

Top 10 peaks for 10° ≤ 2θ ≤ 80°, by intensity:
2θ (°), d [Å], I (rel.)
18.42, 4.816, 100
36.68, 2.450, 69
48.97, 1.860, 66
31.30, 2.858, 49
49.52, 1.841, 48
36.56, 2.458, 42
31.43, 2.846, 34
37.34, 2.408, 32
59.82, 1.546, 21
44.95, 2.017, 20

***

8.
The following is a simulated XRD peak list of Cs2AgF4. It was derived from a DFT-relaxed cell (PBE, the Materials Project), using CuKα.
Peak positions follow from Bragg's law for the DFT cell and can differ from measured ones.

Structure:
```
7
Lattice="-2.2865 2.2865 7.3595 2.2865 -2.2865 7.3595 2.2865 2.2865 -7.3595" Properties=species:S:1:pos:R:3 pbc="T T T"
Cs 0.0000 0.0000 2.1157
Cs 0.0000 0.0000 12.6033
Ag 0.0000 0.0000 7.3595
F 2.2865 0.0000 0.0000
F 0.0000 0.0000 5.1531
F 0.0000 2.2865 0.0000
F 0.0000 0.0000 9.5658
```

Top 10 peaks for 10° ≤ 2θ ≤ 80°, by intensity:
2θ (°), d [Å], I (rel.)
26.65, 3.345, 100
27.58, 3.234, 66
48.21, 1.888, 39
39.41, 2.287, 37
46.46, 1.954, 17
54.89, 1.673, 16
37.01, 2.429, 16
36.63, 2.453, 14
36.29, 2.475, 12
56.95, 1.617, 12

***

9.
The following is a simulated XRD peak list of LiYGeO4. It was derived from a DFT-relaxed cell (PBE, the Materials Project), using CuKα.
Peak positions follow from Bragg's law for the DFT cell and can differ from measured ones.

Structure:
```
28
Lattice="11.1639 0.0000 0.0000 0.0000 6.4039 0.0000 0.0000 0.0000 5.1075" Properties=species:S:1:pos:R:3 pbc="T T T"
Li 0.0000 0.0000 0.0000
Li 0.0000 3.2019 0.0000
Li 5.5819 0.0000 2.5538
Li 5.5819 3.2019 2.5538
Y 2.5305 1.6010 2.4470
Y 3.0514 4.8029 5.0008
Y 8.1124 1.6010 0.1068
Y 8.6334 4.8029 2.6605
Ge 0.9106 4.8029 2.1545
Ge 4.6713 1.6010 4.7083
Ge 6.4925 4.8029 0.3993
Ge 10.2533 1.6010 2.9530
O 0.6753 1.6010 3.7183
O 1.0138 4.8029 3.8957
O 1.8025 3.4429 1.3636
O 1.8025 6.1629 1.3636
O 3.7794 0.2410 3.9173
O 3.7794 2.9610 3.9173
O 4.5681 1.6010 1.3419
O 4.9066 4.8029 1.1645
O 6.2572 1.6010 3.9430
O 6.5958 4.8029 3.7656
O 7.3845 3.4429 1.1902
O 7.3845 6.1629 1.1902
O 9.3613 0.2410 3.7440
O 9.3613 2.9610 3.7440
O 10.1500 1.6010 1.2119
O 10.4886 4.8029 1.3892
```

Top 10 peaks for 10° ≤ 2θ ≤ 80°, by intensity:
2θ (°), d [Å], I (rel.)
32.90, 2.722, 100
27.86, 3.202, 51
23.65, 3.761, 46
19.11, 4.645, 44
35.08, 2.558, 28
52.57, 1.741, 26
34.01, 2.636, 25
21.11, 4.208, 18
57.27, 1.609, 16
38.80, 2.321, 16

***

What is the formula in the sixth record?
CeSe2